# 1
For Mn3Fe3Te2O16, a structure optimized by DFT (PBE+U) gives the theoretical powder diffractogram in this record (Cu Ka).
Kinematic intensities with the Lorentz-polarization factor, no thermal factor.

a = 5.9902 Å, b = 6.0135 Å, c = 9.2435 Å
α = 90.96°, β = 90.84°, γ = 119.62°
Positions (direct):
Mn  0.0000  0.0000  0.0000
Mn  0.0057  0.5081  0.0072
Mn  0.1763  0.3400  0.5061
Fe  0.4964  0.0032  0.0060
Fe  0.6690  0.8302  0.5052
Fe  0.6709  0.3380  0.5019
Te  0.1672  0.8309  0.2825
Te  0.4978  0.5018  0.7823
O  0.0079  0.9911  0.3950
O  0.0139  0.5159  0.3966
O  0.1500  0.8206  0.9056
O  0.1837  0.3535  0.8935
O  0.3017  0.6748  0.1385
O  0.3061  0.1142  0.1468
O  0.3404  0.2089  0.6385
O  0.3406  0.6334  0.6379
O  0.4853  0.9877  0.3937
O  0.4870  0.4913  0.4023
O  0.6508  0.8181  0.8944
O  0.6552  0.3397  0.8961
O  0.7822  0.6406  0.6491
O  0.8461  0.1769  0.0927
O  0.8481  0.1756  0.5939
O  0.8722  0.6634  0.1429

Top 10 peaks for 10 to 90 degrees two-theta, by angle:
2θ = 19.26°, I 71, (0 1 -1); 2θ = 19.35°, I 45, (1 0 -1); 2θ = 19.63°, I 100, (1 -1 1); 2θ = 19.77°, I 88, (1 0 1); 2θ = 25.41°, I 33, (0 1 -2); 2θ = 33.39°, I 30, (0 1 -3); 2θ = 35.39°, I 35, (1 -2 2); 2θ = 35.95°, I 76, (2 -1 2); 2θ = 36.08°, I 34, (1 1 2); 2θ = 61.70°, I 30, (2 -4 0)

# 2
For Mn3V6Fe4O24, a structure optimized by DFT (PBE+U) gives the theoretical powder diffractogram in this record (Cu Ka).
Kinematic intensities with the Lorentz-polarization factor, no thermal factor.

a = 6.7885 Å, b = 8.3098 Å, c = 10.0113 Å
α = 105.88°, β = 105.48°, γ = 102.77°
Positions (direct):
Mn  0.0000  0.0000  0.0000
Mn  0.2834  0.7958  0.2970
Mn  0.7166  0.2042  0.7030
V  0.1093  0.5983  0.8341
V  0.2187  0.1580  0.7662
V  0.4004  0.2349  0.3682
V  0.5996  0.7651  0.6318
V  0.7813  0.8420  0.2338
V  0.8907  0.4017  0.1659
Fe  0.0430  0.7064  0.5183
Fe  0.3770  0.4536  0.1045
Fe  0.6230  0.5464  0.8955
Fe  0.9570  0.2936  0.4817
O  0.0139  0.2176  0.6589
O  0.0761  0.5542  0.6439
O  0.1264  0.5226  0.1506
O  0.1388  0.8107  0.9165
O  0.1788  0.9409  0.6818
O  0.2103  0.2033  0.9490
O  0.2381  0.2954  0.4653
O  0.2654  0.0196  0.2439
O  0.3347  0.5400  0.9261
O  0.3494  0.7497  0.5029
O  0.4365  0.3642  0.2620
O  0.4705  0.2762  0.7704
O  0.5295  0.7238  0.2296
O  0.5635  0.6358  0.7380
O  0.6506  0.2503  0.4971
O  0.6653  0.4600  0.0739
O  0.7346  0.9804  0.7561
O  0.7619  0.7046  0.5347
O  0.7897  0.7967  0.0510
O  0.8212  0.0591  0.3182
O  0.8612  0.1893  0.0835
O  0.8736  0.4774  0.8494
O  0.9239  0.4458  0.3561
O  0.9861  0.7824  0.3411

Top 10 peaks for 10 to 90 degrees two-theta, by angle:
2θ = 11.67°, I 24, (0 1 0); 2θ = 17.75°, I 21, (-1 1 1); 2θ = 18.68°, I 20, (1 -1 1); 2θ = 26.93°, I 43, (2 0 -1); 2θ = 27.39°, I 24, (2 -1 0); 2θ = 27.77°, I 73, (0 1 -3); 2θ = 28.41°, I 31, (1 -2 2); 2θ = 28.60°, I 100, (0 2 1); 2θ = 33.98°, I 18, (0 3 -2); 2θ = 54.43°, I 22, (-4 1 1)